Structure and calculated PXRD pattern of SnC2N6F6 (a crystal structure in the Materials Project, relaxed with PBE; Cu Kα).
Peak positions follow from Bragg's law for the DFT cell and can differ from measured ones.

Cell and atoms:
abc: 6.830 6.830 6.399
angles: 110.70 110.70 60.75
Sites, in units of the cell vectors:
Sn 0.000 0.000 0.000
C 0.273 0.273 0.729
C 0.721 0.721 0.264
N 0.046 0.385 0.727
N 0.385 0.046 0.727
N 0.387 0.387 0.731
N 0.604 0.604 0.251
N 0.610 0.949 0.272
N 0.949 0.610 0.272
F 0.183 0.183 0.200
F 0.188 0.771 0.201
F 0.228 0.816 0.798
F 0.771 0.188 0.201
F 0.816 0.228 0.798
F 0.816 0.816 0.805

The 10 most intense peaks (2θ = 15–90°), low angle first:
d/Å  Rel. int.
5.820  100
5.375  13
5.141  37
4.667  18
3.726  35
2.876  13
2.867  20
2.689  18
2.334  14
1.862  11